(1)
# PbSe2O6
Theoretical powder X-ray diffraction pattern, CuKα. Input: a cell relaxed with GGA-PBE.
Peak positions follow from Bragg's law for the DFT cell and can differ from measured ones.

Largest 8 diffraction maxima, low angle first, 15 to 90 degrees two-theta:
| 2θ (°) | I_rel | index |
| --- | --- | --- |
| 16.24 | 100.0 | 0 1 1 |
| 21.38 | 57.6 | 1 1 -1 |
| 23.60 | 28.5 | 0 2 1 |
| 26.41 | 66.2 | 1 0 -2 |
| 27.47 | 78.8 | 1 2 0 |
| 28.36 | 57.2 | 1 1 1 |
| 32.50 | 28.1 | 0 3 1 |
| 32.81 | 27.2 | 0 2 2 |

Structure:
```
18
Lattice="4.9785 0.0000 0.0000 0.0000 9.0267 0.0000 -2.5253 0.0000 6.8542" Properties=species:S:1:pos:R:3 pbc="T T T"
Pb 0.0000 0.0000 0.0000
Pb -1.2626 4.5133 3.4271
Se 0.0570 1.3677 4.7030
Se 1.3196 3.1457 1.2759
Se 1.1336 5.8810 5.5782
Se 2.3962 7.6590 2.1511
O -1.4159 0.5127 5.0022
O -0.1533 4.0006 1.5751
O 0.8457 1.4800 1.4164
O -0.4170 3.0334 4.8435
O 0.3457 5.8985 4.0186
O 1.6083 7.6416 0.5915
O 0.8449 1.3851 6.2626
O 2.1076 3.1282 2.8356
O 2.8702 5.9933 2.0107
O 1.6076 7.5467 5.4377
O 2.6065 5.0261 5.2791
O 3.8691 8.5140 1.8520
```


(2)
# SiPbO3
Theoretical powder X-ray diffraction pattern, CuKα. Input: a cell relaxed with GGA-PBE.
Peak positions follow from Bragg's law for the DFT cell and can differ from measured ones.

Largest 8 diffraction maxima, low angle first, 15 to 90 degrees two-theta:
| 2θ (°) | I_rel | index |
| --- | --- | --- |
| 23.74 | 62.2 | 1 0 0 |
| 33.82 | 100.0 | 1 1 0 |
| 41.74 | 40.4 | 1 1 1 |
| 48.58 | 30.0 | 2 0 0 |
| 54.76 | 29.9 | 2 1 0 |
| 60.50 | 39.8 | 2 1 1 |
| 71.15 | 18.6 | 2 2 0 |
| 81.15 | 18.3 | 3 1 0 |

Structure:
```
5
Lattice="3.7482 0.0000 0.0000 0.0000 3.7482 0.0000 0.0000 0.0000 3.7482" Properties=species:S:1:pos:R:3 pbc="T T T"
Si 0.0000 0.0000 0.0000
Pb 1.8741 1.8741 1.8741
O 0.0000 0.0000 1.8741
O 0.0000 1.8741 0.0000
O 1.8741 0.0000 0.0000
```


(3)
# SiPbO3
Theoretical powder X-ray diffraction pattern, CuKα. Input: a cell relaxed with GGA-PBE.
Peak positions follow from Bragg's law for the DFT cell and can differ from measured ones.

Largest 8 diffraction maxima, low angle first, 15 to 90 degrees two-theta:
| 2θ (°) | I_rel | index |
| --- | --- | --- |
| 15.27 | 81.3 | 1 1 0 |
| 24.56 | 86.5 | 2 1 -3 |
| 24.72 | 84.2 | 1 1 2 |
| 26.32 | 92.3 | 1 2 -1 |
| 27.00 | 100.0 | 3 0 0 |
| 29.39 | 57.1 | 3 0 -4 |
| 31.46 | 76.2 | 4 0 -2 |
| 43.71 | 46.1 | 1 2 -5 |

Structure:
```
60
Lattice="11.4039 0.0000 0.0000 0.0000 7.1531 0.0000 -6.5462 0.0000 11.5260" Properties=species:S:1:pos:R:3 pbc="T T T"
Si -0.6090 0.9109 1.7752
Si -3.8821 6.2422 7.5382
Si -0.6517 1.3053 6.1834
Si 2.6214 5.8478 0.4204
Si 1.5663 2.9075 4.5300
Si -1.7068 4.2456 10.2931
Si 6.5644 2.9075 1.2330
Si 3.2913 4.2456 6.9960
Si 2.2362 1.3053 11.1057
Si 5.5094 5.8478 5.3427
Si 8.7398 0.9109 3.9878
Si 5.4667 6.2422 9.7508
Pb -3.5260 2.7485 7.5461
Pb -0.2529 4.4046 1.7831
Pb 2.7612 2.1818 1.1808
Pb -0.5120 4.9713 6.9438
Pb -1.1771 0.4281 9.4737
Pb 2.0960 6.7250 3.7107
Pb 2.7616 0.4281 7.8153
Pb 6.0347 6.7250 2.0523
Pb 5.3696 2.1818 4.5822
Pb 2.0965 4.9713 10.3452
Pb 5.1106 2.7485 9.7430
Pb 8.3837 4.4046 3.9799
O -1.6366 1.6177 2.8815
O -4.9097 5.5354 8.6445
O 0.4128 2.0762 1.2534
O -2.8603 5.0769 7.0164
O -1.6829 0.4156 5.2406
O -4.9560 6.7375 11.0037
O -3.1114 0.3724 8.1755
O 0.1617 6.7807 2.4125
O -1.3621 2.6521 6.7607
O 1.9110 4.5010 0.9977
O -2.5348 3.0418 9.6007
O 0.7383 4.1113 3.8377
O 0.6465 1.7121 5.2391
O -2.6266 5.4410 11.0021
O -0.1124 0.3336 7.3907
O 3.1607 6.8195 1.6277
O 2.5657 2.0463 3.5356
O -0.7074 5.1068 9.2986
O 5.7019 3.5766 0.0000
O 2.4288 3.5766 5.7630
O 5.5650 2.0463 2.2274
O 2.2919 5.1068 7.9904
O 1.6969 0.3336 9.8983
O 4.9700 6.8195 4.1353
O 7.4842 1.7121 0.5239
O 4.2111 5.4410 6.2869
O 4.1194 3.0418 7.6883
O 7.3925 4.1113 1.9253
O 2.9467 2.6521 10.5283
O 6.2198 4.5010 4.7653
O 4.6960 0.3724 9.1135
O 7.9691 6.7807 3.3505
O 9.8137 0.4156 0.5224
O 6.5406 6.7375 6.2854
O 7.7180 2.0762 4.5096
O 4.4449 5.0769 10.2726
```


(4)
# ZnSiPbO4
Theoretical powder X-ray diffraction pattern, CuKα. Input: a cell relaxed with GGA-PBE.
Peak positions follow from Bragg's law for the DFT cell and can differ from measured ones.

Largest 8 diffraction maxima, low angle first, 15 to 90 degrees two-theta:
| 2θ (°) | I_rel | index |
| --- | --- | --- |
| 17.84 | 26.1 | 0 1 1 |
| 27.49 | 100.0 | 2 0 1 |
| 27.87 | 20.3 | 2 1 1 |
| 28.91 | 51.1 | 0 5 1 |
| 30.85 | 48.6 | 2 3 1 |
| 31.53 | 25.4 | 2 5 0 |
| 34.87 | 24.8 | 0 0 2 |
| 58.15 | 20.8 | 2 0 3 |

Structure:
```
56
Lattice="8.3667 0.0000 0.0000 0.0000 19.3034 0.0000 0.0000 0.0000 5.1456" Properties=species:S:1:pos:R:3 pbc="T T T"
Zn 8.3640 1.1142 0.0000
Zn 0.0027 18.1892 2.5728
Zn 1.5078 6.6496 5.1394
Zn 2.6756 16.3013 2.5666
Zn 4.1806 8.5375 0.0000
Zn 4.1861 10.7658 2.5728
Zn 5.6911 3.0021 5.1394
Zn 6.8589 12.6538 2.5666
Si 1.6844 13.0830 2.5987
Si 1.9211 17.9030 5.0919
Si 2.2622 8.2513 2.5191
Si 2.4989 3.4313 0.0259
Si 5.8678 15.8720 2.5987
Si 6.1045 11.0520 5.0919
Si 6.4456 1.4003 2.5191
Si 6.6823 6.2204 0.0259
Pb 0.3437 14.8296 0.1656
Pb 1.2322 10.8002 0.3369
Pb 2.9511 1.1485 2.9097
Pb 3.8396 5.1779 2.7384
Pb 4.5271 14.1255 0.1656
Pb 5.4156 18.1548 0.3369
Pb 7.1345 8.5031 2.9097
Pb 8.0230 4.4738 2.7384
O 0.3128 12.4860 1.8361
O 0.5850 18.6371 4.4286
O 0.9304 9.1476 2.1961
O 1.2599 2.4847 4.6996
O 1.4730 13.1397 4.2161
O 1.6869 17.7563 1.5793
O 1.8641 14.6011 1.9427
O 2.0569 16.3888 4.4393
O 2.1265 6.7371 1.8665
O 2.3193 4.9494 4.5155
O 2.4964 8.1046 4.1521
O 2.7103 3.4880 1.6433
O 2.9235 12.1364 2.1268
O 3.2530 18.7993 4.7689
O 3.5983 8.9854 1.8558
O 3.8706 2.8343 4.4089
O 4.4961 16.4690 1.8361
O 4.7684 10.3179 4.4286
O 5.1137 0.5041 2.1961
O 5.4432 7.1669 4.6996
O 5.6564 15.8153 4.2161
O 5.8703 11.1987 1.5793
O 6.0475 14.3540 1.9427
O 6.2403 12.5662 4.4393
O 6.3098 2.9145 1.8665
O 6.5026 4.7023 4.5155
O 6.6798 1.5471 4.1521
O 6.8937 6.1637 1.6433
O 7.1069 16.8186 2.1268
O 7.4364 10.1557 4.7689
O 7.7817 0.6663 1.8558
O 8.0540 6.8173 4.4089
```